# KYGa2Br6
Computed powder X-ray diffraction pattern, Cu Kα (λ = 1.5418 Å). Input: a structure optimized by DFT (PBE).
Neutral-atom scattering factors, no anomalous dispersion.

Principal peaks in the range 2θ = 5–70°, by intensity:
(2 1 2), 26.10 deg, rel. 100.0
(1 2 -1), 34.47 deg, rel. 68.7
(3 3 2), 39.85 deg, rel. 43.7
(2 1 -2), 45.44 deg, rel. 29.1
(1 0 1), 15.57 deg, rel. 26.9
(0 1 0), 13.72 deg, rel. 18.5

Cell and atoms:
```
data_KYGa2Br6
_chemical_formula_sum 'K1 Y1 Ga2 Br6'
_cell_length_a 7.829
_cell_length_b 7.839
_cell_length_c 8.298
_cell_angle_alpha 61.87
_cell_angle_beta 61.86
_cell_angle_gamma 60.04
_space_group_name_H-M_alt 'P 1'
_space_group_IT_number 1
loop_
_space_group_symop_operation_xyz
'x,y,z'
loop_
_atom_site_label
_atom_site_type_symbol
_atom_site_fract_x
_atom_site_fract_y
_atom_site_fract_z
K1 K 0.000 0.000 0.000
Y1 Y 0.509 0.510 0.471
Ga1 Ga 0.195 0.195 0.414
Ga2 Ga 0.701 0.701 0.895
Br1 Br 0.149 0.755 0.683
Br2 Br 0.323 0.581 0.210
Br3 Br 0.413 0.149 0.683
Br4 Br 0.581 0.884 0.210
Br5 Br 0.756 0.413 0.683
Br6 Br 0.885 0.324 0.210
```